[1]
For La2DyHo4Sc, a GGA-PBE-relaxed structure gives the theoretical X-ray powder pattern in this record (Cu Kα).
Lines closer than 0.1° are merged.

Structure:
Cell lengths 13.579, 13.100, 6.750 Å; angles 90.00, 119.78, 90.00 degrees
Space group C2/c (No. 15)
Symmetry-distinct sites (fractional):
La 0.000 0.000 0.000 (multiplicity 4)
La 0.250 0.250 0.000 (multiplicity 4)
Dy 0.250 0.250 0.500 (multiplicity 4)
Ho 0.000 0.265 0.002 (multiplicity 8)
Ho 0.232 0.499 0.480 (multiplicity 8)
Sc 0.000 0.500 0.000 (multiplicity 4)

Main lines, in order of rising 2θ (5 to 70 degrees two-theta):
| (hkl) | 2θ (°) | I (rel.) |
| --- | --- | --- |
| 0 4 0 | 27.23 | 61 |
| 4 0 0 | 30.34 | 46 |
| 4 0 -2 | 30.53 | 100 |
| 4 4 0 | 41.22 | 38 |
| 4 4 -2 | 41.36 | 79 |
| 8 0 -2 | 54.02 | 17 |
| 8 4 -2 | 61.53 | 22 |
| 4 8 -2 | 65.28 | 18 |

---

[2]
For Li3MgCd, a GGA-PBE-relaxed structure gives the theoretical X-ray powder pattern in this record (Cu Kα).
Lines closer than 0.1° are merged.

Structure:
Cell lengths 9.324, 4.440, 9.502 Å; angles 90.00, 91.72, 90.00 degrees
Space group C2/m (No. 12)
Symmetry-distinct sites (fractional):
Li 0.058 0.000 0.141 (multiplicity 4)
Li 0.152 0.000 0.453 (multiplicity 4)
Li 0.242 0.000 0.763 (multiplicity 4)
Mg 0.046 0.500 0.654 (multiplicity 4)
Cd 0.150 0.500 0.949 (multiplicity 4)

Main lines, in order of rising 2θ (5 to 70 degrees two-theta):
| (hkl) | 2θ (°) | I (rel.) |
| --- | --- | --- |
| 0 0 1 | 9.31 | 100 |
| 0 0 2 | 18.68 | 17 |
| 2 0 -1 | 20.98 | 14 |
| 1 1 0 | 22.18 | 25 |
| 1 1 1 | 24.21 | 19 |
| 1 1 2 | 29.34 | 14 |
| 1 1 3 | 36.35 | 47 |
| 0 2 0 | 40.63 | 13 |

---

[3]
For Er6Ag5, a GGA-PBE-relaxed structure gives the theoretical X-ray powder pattern in this record (Cu Kα).
Lines closer than 0.1° are merged.

Structure:
Cell lengths 5.066, 7.152, 15.166 Å; angles 90.00, 90.00, 90.00 degrees
Space group Immm (No. 71)
Symmetry-distinct sites (fractional):
Er 0.000 0.248 0.000 (multiplicity 4)
Er 0.000 0.252 0.337 (multiplicity 8)
Ag 0.000 0.000 0.169 (multiplicity 4)
Ag 0.000 0.000 0.500 (multiplicity 2)
Ag 0.000 0.500 0.169 (multiplicity 4)

Main lines, in order of rising 2θ (5 to 70 degrees two-theta):
| (hkl) | 2θ (°) | I (rel.) |
| --- | --- | --- |
| 0 1 1 | 13.69 | 2 |
| 0 1 3 | 21.51 | 1 |
| 0 2 0 | 24.89 | 9 |
| 2 0 0 | 35.49 | 100 |
| 2 2 0 | 43.83 | 3 |
| 0 4 0 | 51.06 | 17 |
| 1 4 3 | 57.63 | 3 |
| 3 2 3 | 63.72 | 35 |

---

[4]
For Sm3Dy2Er7, a GGA-PBE-relaxed structure gives the theoretical X-ray powder pattern in this record (Cu Kα).
Lines closer than 0.1° are merged.

Structure:
Cell lengths 6.296, 3.505, 17.393 Å; angles 90.00, 96.25, 90.00 degrees
Space group P2/m (No. 10)
Symmetry-distinct sites (fractional):
Sm 0.000 0.000 0.000 (multiplicity 1)
Sm 0.048 0.500 0.658 (multiplicity 2)
Dy 0.443 0.000 0.326 (multiplicity 2)
Er 0.229 0.500 0.165 (multiplicity 2)
Er 0.247 0.000 0.501 (multiplicity 2)
Er 0.275 0.000 0.834 (multiplicity 2)
Er 0.500 0.500 0.000 (multiplicity 1)

Main lines, in order of rising 2θ (5 to 70 degrees two-theta):
| (hkl) | 2θ (°) | I (rel.) |
| --- | --- | --- |
| 1 1 1 | 29.94 | 29 |
| 0 0 6 | 31.02 | 100 |
| 1 1 2 | 31.54 | 58 |
| 2 0 3 | 34.06 | 36 |
| 1 1 -4 | 35.03 | 42 |
| 3 1 -1 | 50.70 | 20 |
| 2 0 -9 | 53.17 | 22 |
| 0 2 6 | 61.96 | 28 |

---

[5]
For NdHgPt, a GGA-PBE-relaxed structure gives the theoretical X-ray powder pattern in this record (Cu Kα).
Lines closer than 0.1° are merged.

Structure:
Cell lengths 13.509, 3.986, 7.888 Å; angles 90.00, 90.00, 90.00 degrees
Space group Pmma (No. 51)
Symmetry-distinct sites (fractional):
Nd 0.051 0.000 0.232 (multiplicity 4)
Nd 0.250 0.000 0.829 (multiplicity 2)
Hg 0.111 0.500 0.565 (multiplicity 4)
Hg 0.250 0.500 0.182 (multiplicity 2)
Pt 0.094 0.500 0.932 (multiplicity 4)
Pt 0.250 0.000 0.441 (multiplicity 2)

Main lines, in order of rising 2θ (5 to 70 degrees two-theta):
| (hkl) | 2θ (°) | I (rel.) |
| --- | --- | --- |
| 0 1 2 | 31.92 | 33 |
| 3 1 1 | 32.06 | 100 |
| 2 1 2 | 34.64 | 44 |
| 4 1 0 | 34.80 | 63 |
| 3 0 3 | 39.69 | 51 |
| 6 0 0 | 40.05 | 33 |
| 1 1 3 | 41.69 | 31 |
| 0 2 0 | 45.51 | 42 |

---

[6]
For Ac2Nd2CoPd2, a GGA-PBE-relaxed structure gives the theoretical X-ray powder pattern in this record (Cu Kα).
Lines closer than 0.1° are merged.

Structure:
Cell lengths 14.739, 4.087, 7.361 Å; angles 90.00, 115.24, 90.00 degrees
Space group C2/m (No. 12)
Symmetry-distinct sites (fractional):
Ac 0.213 0.000 0.234 (multiplicity 4)
Nd 0.017 0.500 0.757 (multiplicity 4)
Co 0.000 0.000 0.000 (multiplicity 2)
Pd 0.116 0.000 0.564 (multiplicity 4)

Main lines, in order of rising 2θ (5 to 70 degrees two-theta):
| (hkl) | 2θ (°) | I (rel.) |
| --- | --- | --- |
| 0 0 2 | 26.77 | 68 |
| 1 1 1 | 27.88 | 74 |
| 4 0 -2 | 28.70 | 60 |
| 3 1 0 | 29.70 | 100 |
| 1 1 -2 | 33.10 | 61 |
| 3 1 -2 | 33.91 | 66 |
| 5 1 -1 | 37.63 | 61 |
| 0 2 0 | 44.34 | 74 |

---

[7]
For Sr3TiSi2O8, a GGA-PBE-relaxed structure gives the theoretical X-ray powder pattern in this record (Cu Kα).
Lines closer than 0.1° are merged.

Structure:
Cell lengths 5.5332, 5.5332, 7.0968 Å; angles 90.00, 90.00, 120.00 degrees
Space group P-3m1 (No. 164)
Symmetry-distinct sites (fractional):
Sr 0.0000 0.0000 0.0000 (multiplicity 1)
Sr 0.3333 0.6667 0.6611 (multiplicity 2)
Ti 0.0000 0.0000 0.5000 (multiplicity 1)
Si 0.3333 0.6667 0.2160 (multiplicity 2)
O 0.1740 0.3479 0.3073 (multiplicity 6)
O 0.3333 0.6667 0.9897 (multiplicity 2)

Main lines, in order of rising 2θ (5 to 70 degrees two-theta):
| (hkl) | 2θ (°) | I (rel.) |
| --- | --- | --- |
| 1 0 1 | 22.39 | 21 |
| 0 1 2 | 31.37 | 76 |
| 1 1 0 | 32.36 | 100 |
| 0 2 1 | 39.71 | 27 |
| 2 0 2 | 45.69 | 49 |
| 1 2 2 | 57.09 | 27 |
| 3 0 0 | 57.72 | 18 |
| 2 2 0 | 67.74 | 18 |

---

[8]
For KVAgI6, a GGA-PBE-relaxed structure gives the theoretical X-ray powder pattern in this record (Cu Kα).
Lines closer than 0.1° are merged.

Structure:
Cell lengths 7.394, 7.452, 7.758 Å; angles 87.93, 61.60, 85.56 degrees
Space group P1 (No. 1)
Symmetry-distinct sites (fractional):
K 0.000 0.000 0.000 (multiplicity 1)
V 0.337 0.500 0.327 (multiplicity 1)
Ag 0.657 0.500 0.688 (multiplicity 1)
I 0.018 0.292 0.622 (multiplicity 1)
I 0.019 0.738 0.389 (multiplicity 1)
I 0.337 0.298 0.047 (multiplicity 1)
I 0.362 0.708 0.622 (multiplicity 1)
I 0.593 0.262 0.389 (multiplicity 1)
I 0.617 0.701 0.047 (multiplicity 1)

Main lines, in order of rising 2θ (5 to 70 degrees two-theta):
| (hkl) | 2θ (°) | I (rel.) |
| --- | --- | --- |
| 0 1 0 | 11.91 | 59 |
| 1 1 2 | 25.51 | 100 |
| 2 1 1 | 26.14 | 37 |
| 1 -1 2 | 26.39 | 67 |
| 2 -1 1 | 27.84 | 37 |
| 1 2 2 | 32.72 | 65 |
| 2 -2 1 | 35.63 | 42 |
| 3 0 3 | 41.78 | 40 |

---

[9]
For Ho2ErThAs4, a GGA-PBE-relaxed structure gives the theoretical X-ray powder pattern in this record (Cu Kα).
Lines closer than 0.1° are merged.

Structure:
Cell lengths 7.158, 4.145, 7.162 Å; angles 90.00, 109.48, 90.00 degrees
Space group P2/m (No. 10)
Symmetry-distinct sites (fractional):
Ho 0.000 0.000 0.000 (multiplicity 1)
Ho 0.500 0.500 0.000 (multiplicity 1)
Er 0.000 0.500 0.500 (multiplicity 1)
Th 0.500 0.000 0.500 (multiplicity 1)
As 0.243 0.500 0.244 (multiplicity 2)
As 0.247 0.000 0.752 (multiplicity 2)

Main lines, in order of rising 2θ (5 to 70 degrees two-theta):
| (hkl) | 2θ (°) | I (rel.) |
| --- | --- | --- |
| 2 0 0 | 26.38 | 30 |
| 1 1 1 | 30.56 | 100 |
| 0 2 0 | 43.73 | 38 |
| 2 0 2 | 43.79 | 37 |
| 3 1 1 | 51.81 | 12 |
| 2 2 -2 | 54.25 | 13 |
| 4 0 0 | 54.37 | 13 |
| 2 2 2 | 63.61 | 12 |

---

[10]
For Pm6Nd8Tl, a GGA-PBE-relaxed structure gives the theoretical X-ray powder pattern in this record (Cu Kα).
Lines closer than 0.1° are merged.

Structure:
Cell lengths 9.5028, 9.5028, 6.6496 Å; angles 90.00, 90.00, 120.00 degrees
Space group P-3 (No. 147)
Symmetry-distinct sites (fractional):
Pm 0.0935 0.6465 0.1688 (multiplicity 6)
Nd 0.0408 0.7718 0.6807 (multiplicity 6)
Nd 0.3333 0.6667 0.6368 (multiplicity 2)
Tl 0.0000 0.0000 0.0000 (multiplicity 1)

Main lines, in order of rising 2θ (5 to 70 degrees two-theta):
| (hkl) | 2θ (°) | I (rel.) |
| --- | --- | --- |
| 0 2 1 | 25.46 | 22 |
| 1 2 0 | 28.70 | 22 |
| 0 1 2 | 28.96 | 17 |
| 3 -1 1 | 31.76 | 100 |
| 1 1 2 | 32.88 | 33 |
| 2 3 1 | 50.23 | 12 |
| 4 1 0 | 50.84 | 19 |
| 2 4 1 | 61.20 | 12 |

---

[11]
For SrPrGaGe, a GGA-PBE-relaxed structure gives the theoretical X-ray powder pattern in this record (Cu Kα).
Lines closer than 0.1° are merged.

Structure:
Cell lengths 4.212, 4.625, 11.547 Å; angles 90.00, 90.00, 90.00 degrees
Space group Amm2 (No. 38)
Symmetry-distinct sites (fractional):
Sr 0.000 0.000 0.000 (multiplicity 2)
Pr 0.500 0.000 0.277 (multiplicity 2)
Ga 0.500 0.000 0.575 (multiplicity 2)
Ge 0.000 0.000 0.717 (multiplicity 2)

Main lines, in order of rising 2θ (5 to 70 degrees two-theta):
| (hkl) | 2θ (°) | I (rel.) |
| --- | --- | --- |
| 1 1 1 | 29.71 | 100 |
| 0 1 3 | 30.21 | 44 |
| 0 0 4 | 30.98 | 24 |
| 1 1 3 | 37.14 | 67 |
| 1 0 4 | 37.78 | 22 |
| 0 2 0 | 38.95 | 29 |
| 2 0 0 | 42.95 | 22 |
| 2 1 3 | 53.41 | 18 |

---

[12]
For Ac3Tl4GaO8, a GGA-PBE-relaxed structure gives the theoretical X-ray powder pattern in this record (Cu Kα).
Lines closer than 0.1° are merged.

Structure:
Cell lengths 13.527, 7.298, 7.629 Å; angles 90.00, 119.93, 90.00 degrees
Space group C2/m (No. 12)
Symmetry-distinct sites (fractional):
Ac 0.000 0.000 0.000 (multiplicity 2)
Ac 0.250 0.250 0.000 (multiplicity 4)
Tl 0.000 0.000 0.500 (multiplicity 2)
Tl 0.000 0.500 0.500 (multiplicity 2)
Tl 0.250 0.250 0.500 (multiplicity 4)
Ga 0.000 0.500 0.000 (multiplicity 2)
O 0.033 0.303 0.857 (multiplicity 8)
O 0.212 0.000 0.184 (multiplicity 4)
O 0.219 0.000 0.761 (multiplicity 4)

Main lines, in order of rising 2θ (5 to 70 degrees two-theta):
| (hkl) | 2θ (°) | I (rel.) |
| --- | --- | --- |
| 0 0 2 | 26.97 | 64 |
| 2 2 0 | 28.82 | 100 |
| 4 0 -2 | 28.92 | 49 |
| 4 0 0 | 30.50 | 57 |
| 2 2 -2 | 34.05 | 86 |
| 2 2 2 | 45.08 | 37 |
| 6 2 -2 | 47.61 | 33 |
| 2 2 -4 | 55.67 | 28 |